Simulated XRD peak list
Compound: Sm2Cu2O5
Radiation: copper Kα
Structure: a cell relaxed with PBE
Intensities are scaled so that the largest is 100.

Structure:
Cell lengths 11.0589, 3.6516, 12.7468 Å; angles 90.00, 90.00, 90.00 degrees
Fractional coordinates of all 36 atoms:
Sm (0.0430, 0.2171, 0.0000)
Sm (0.2079, 0.2137, 0.6735)
Sm (0.2921, 0.7137, 0.1735)
Sm (0.4570, 0.7171, 0.5000)
Sm (0.5430, 0.2829, 0.0000)
Sm (0.7079, 0.2863, 0.6735)
Sm (0.7921, 0.7863, 0.1735)
Sm (0.9570, 0.7829, 0.5000)
Cu (0.0114, 0.3396, 0.2844)
Cu (0.2369, 0.1563, 0.3879)
Cu (0.2631, 0.6563, 0.8879)
Cu (0.4886, 0.8396, 0.7844)
Cu (0.5114, 0.1604, 0.2844)
Cu (0.7369, 0.3437, 0.3879)
Cu (0.7631, 0.8437, 0.8879)
Cu (0.9886, 0.6604, 0.7844)
O (0.0736, 0.2773, 0.4328)
O (0.0753, 0.7221, 0.6471)
O (0.1252, 0.3691, 0.8366)
O (0.1744, 0.2153, 0.2387)
O (0.1757, 0.7240, 0.0248)
O (0.3243, 0.2240, 0.5248)
O (0.3256, 0.7153, 0.7387)
O (0.3748, 0.8691, 0.3366)
O (0.4247, 0.2221, 0.1471)
O (0.4264, 0.7773, 0.9328)
O (0.5736, 0.2227, 0.4328)
O (0.5753, 0.7779, 0.6471)
O (0.6252, 0.1309, 0.8366)
O (0.6744, 0.2847, 0.2387)
O (0.6757, 0.7760, 0.0248)
O (0.8243, 0.2760, 0.5248)
O (0.8256, 0.7847, 0.7387)
O (0.8748, 0.6309, 0.3366)
O (0.9247, 0.2779, 0.1471)
O (0.9264, 0.7227, 0.9328)

The 12 most intense peaks (2θ = 5–70°), by angle:
(hkl)	two_theta	Rel. int.
2 0 2	21.27	39.9
2 0 3	26.46	28.4
2 1 0	29.31	32.4
2 1 1	30.16	100.0
0 1 3	32.34	75.4
2 0 4	32.43	59.4
4 0 1	33.16	20.8
4 1 2	43.44	35.3
4 1 3	46.42	29.6
4 1 4	50.34	24.3
6 0 3	54.25	17.7
2 1 7	59.10	21.0